Structure and theoretical powder diffractogram of DyYN4 (a PBE-relaxed structure; Cu Kα, 1.54184 Å).
No peak broadening, texture or thermal motion is included.

Largest 10 diffraction maxima, in order of rising 2θ, 2θ from 10° to 90°:
- d = 3.726 Å, rel. 27.4, hkl 1 1 0
- d = 3.710 Å, rel. 13.7, hkl 2 0 0
- d = 2.956 Å, rel. 100.0, hkl 1 1 1
- d = 2.430 Å, rel. 21.0, hkl 0 0 2
- d = 2.154 Å, rel. 17.9, hkl 0 2 0
- d = 2.145 Å, rel. 35.4, hkl 3 1 0
- d = 2.036 Å, rel. 18.5, hkl 1 1 -2
- d = 1.740 Å, rel. 16.6, hkl 2 2 -1
- d = 1.611 Å, rel. 22.8, hkl 0 2 2
- d = 1.486 Å, rel. 13.5, hkl 1 1 3

Atomic structure:
```
data_DyYN4
_chemical_formula_sum 'Dy2 Y2 N8'
_symmetry_space_group_name_H-M 'C 1 m 1'
_symmetry_Int_Tables_number 8
_symmetry_space_group_name_Hall 'C -2y'
_cell_length_a 7.421
_cell_length_b 4.309
_cell_length_c 4.861
_cell_angle_alpha 90.00
_cell_angle_beta 90.16
_cell_angle_gamma 90.00
loop_
_atom_site_label
_atom_site_type_symbol
_atom_site_fract_x
_atom_site_fract_y
_atom_site_fract_z
Dy1 Dy 0.000 0.000 0.000
Y1 Y 0.166 0.500 0.483
N1 N 0.167 0.500 0.013
N2 N 0.332 0.000 0.627
N3 N 0.334 0.000 0.866
N4 N 0.499 0.500 0.470
```